Ba3CaTiWO9: simulated powder XRD pattern (a wavelength of 1.5418 Å), based on a DFT-relaxed cell (GGA+U, Alexandria).
Peak positions follow from Bragg's law for the DFT cell and can differ from measured ones.

The 12 most intense peaks (2θ = 10–80°), most intense first:
- 2θ 29.8, d = 3.001 Å, rel. 100.0
- 2θ 29.4, d = 3.037 Å, rel. 65.0
- 2θ 42.3, d = 2.135 Å, rel. 39.1
- 2θ 24.7, d = 3.600 Å, rel. 33.1
- 2θ 52.6, d = 1.739 Å, rel. 23.9
- 2θ 39.1, d = 2.305 Å, rel. 21.1
- 2θ 52.8, d = 1.733 Å, rel. 19.8
- 2θ 61.8, d = 1.500 Å, rel. 19.2
- 2θ 11.8, d = 7.485 Å, rel. 18.7
- 2θ 45.9, d = 1.978 Å, rel. 16.8
- 2θ 55.7, d = 1.651 Å, rel. 14.9
- 2θ 64.4, d = 1.447 Å, rel. 14.6

```
data_Ba3CaTiWO9
_chemical_formula_sum 'Ba6 Ca2 Ti2 W2 O18'
_cell_length_a 6.0017
_cell_length_b 6.0017
_cell_length_c 14.9708
_cell_angle_alpha 90.00
_cell_angle_beta 90.00
_cell_angle_gamma 120.00
_symmetry_space_group_name_H-M 'P 63 m c'
_symmetry_Int_Tables_number 186
_symmetry_space_group_name_Hall 'P 6c -2c'
loop_
_atom_site_label
_atom_site_type_symbol
_atom_site_fract_x
_atom_site_fract_y
_atom_site_fract_z
Ba1 Ba 0.0000 0.0000 0.0000
Ba2 Ba 0.3333 0.6667 0.1549
Ba3 Ba 0.3333 0.6667 0.8632
Ca1 Ca 0.0000 0.0000 0.2559
Ti1 Ti 0.3333 0.6667 0.4008
W1 W 0.3333 0.6667 0.5948
O1 O 0.0352 0.5176 0.5094
O2 O 0.1750 0.3499 0.3473
O3 O 0.1775 0.3549 0.6626
```